Starting from the GGA-PBE geometry in OQMD, the X-ray diffraction stick pattern of ReTeS was simulated for CuKα.
Intensities are scaled so that the largest is 100.

The 10 most intense peaks (10 to 90 degrees two-theta), by angle:
hkl, d (Å), 2theta, I_rel
0 0 1, 6.915, 12.80, 100
0 1 0, 5.942, 14.91, 8
1 1 1, 5.044, 17.58, 12
2 2 1, 2.884, 31.01, 10
0 2 -1, 2.590, 34.63, 24
2 0 -1, 2.580, 34.77, 24
2 2 2, 2.522, 35.60, 19
2 0 -2, 2.113, 42.81, 8
2 2 -2, 1.960, 46.32, 10
2 -2 0, 1.719, 53.30, 10

a b c (Å): 6.688 6.877 7.149
angles (deg): 76.69 78.18 60.97
Fractional positions:
Re1 0.190 0.297 0.003
Re2 0.248 0.688 0.992
Re3 0.752 0.312 0.008
Re4 0.810 0.703 0.997
Te1 0.126 0.616 0.689
Te2 0.385 0.870 0.216
Te3 0.615 0.130 0.784
Te4 0.874 0.384 0.311
S1 0.108 0.099 0.821
S2 0.393 0.357 0.210
S3 0.607 0.643 0.790
S4 0.892 0.901 0.179